(1)
Diffraction record for Mn3IrRh12. The PXRD pattern is simulated, not measured: it uses a DFT-relaxed cell (PBE, Alexandria) and a wavelength of 1.5418 Å.
Neutral-atom scattering factors, no anomalous dispersion.

The 10 most intense peaks (2θ from 5° to 70°), in order of falling intensity:
2theta, Rel. int.
40.90, 100.0
47.59, 48.1
69.58, 29.9
5.78, 12.1
11.58, 3.4
24.00, 2.5
29.21, 2.2
26.07, 2.2
37.68, 1.9
17.41, 1.4

Atomic structure:
```
16
Lattice="3.822 0.000 0.000 0.000 3.822 0.000 0.000 0.000 15.284" Properties=species:S:1:pos:R:3 pbc="T T T"
Mn 0.000 0.000 0.000
Mn 0.000 0.000 3.763
Mn 0.000 0.000 11.521
Ir 0.000 0.000 7.642
Rh 0.000 1.911 1.892
Rh 0.000 1.911 5.722
Rh 0.000 1.911 9.562
Rh 0.000 1.911 13.392
Rh 1.911 0.000 1.892
Rh 1.911 0.000 5.722
Rh 1.911 0.000 9.562
Rh 1.911 0.000 13.392
Rh 1.911 1.911 0.000
Rh 1.911 1.911 3.811
Rh 1.911 1.911 7.642
Rh 1.911 1.911 11.473
```

(2)
Diffraction record for MnIr4Rh6. The PXRD pattern is simulated, not measured: it uses a DFT-relaxed cell (PBE, Alexandria) and a wavelength of 1.5418 Å.
Neutral-atom scattering factors, no anomalous dispersion.

The 10 most intense peaks (2θ from 5° to 70°), in order of falling intensity:
2theta, Rel. int.
43.46, 100.0
41.54, 84.1
41.21, 57.7
45.96, 55.7
9.48, 45.1
23.56, 38.6
39.00, 37.2
38.63, 34.0
45.49, 33.2
49.98, 26.2

Atomic structure:
```
22
Lattice="2.174 -4.133 0.000 2.174 4.133 0.000 0.000 0.000 18.652" Properties=species:S:1:pos:R:3 pbc="T T T"
Mn 2.174 2.775 13.989
Mn 2.174 -2.775 4.663
Ir 2.174 2.644 0.514
Ir 2.174 2.644 8.812
Ir 2.174 0.916 2.512
Ir 2.174 0.916 6.814
Ir 2.174 -0.916 11.838
Ir 2.174 -0.916 16.140
Ir 2.174 -2.644 9.840
Ir 2.174 -2.644 18.138
Rh 2.174 3.495 3.068
Rh 2.174 3.495 6.258
Rh 2.174 1.766 11.389
Rh 2.174 1.766 16.589
Rh 2.174 0.329 13.989
Rh 2.174 0.000 0.000
Rh 2.174 0.000 9.326
Rh 2.174 -0.329 4.663
Rh 2.174 -1.766 2.063
Rh 2.174 -1.766 7.263
Rh 2.174 -3.495 12.394
Rh 2.174 -3.495 15.584
```

(3)
Diffraction record for Mn2Ir3Rh8. The PXRD pattern is simulated, not measured: it uses a DFT-relaxed cell (PBE, Alexandria) and a wavelength of 1.5418 Å.
Neutral-atom scattering factors, no anomalous dispersion.

The 10 most intense peaks (2θ from 5° to 70°), in order of falling intensity:
2theta, Rel. int.
42.63, 100.0
35.25, 24.4
13.34, 24.0
45.26, 22.2
47.88, 19.7
12.90, 15.8
68.00, 12.9
55.34, 10.4
27.04, 9.4
40.77, 7.6

Atomic structure:
```
13
Lattice="4.007 -6.639 0.000 4.007 6.639 0.000 0.000 0.000 3.800" Properties=species:S:1:pos:R:3 pbc="T T T"
Mn 4.007 3.462 0.000
Mn 4.007 -3.462 0.000
Ir 2.139 0.000 1.900
Ir 4.007 0.000 0.000
Ir 5.874 0.000 1.900
Rh 2.006 1.837 0.000
Rh 4.007 5.108 1.900
Rh 4.007 1.951 1.900
Rh 2.006 -1.837 0.000
Rh 6.008 1.837 0.000
Rh 4.007 -1.951 1.900
Rh 4.007 -5.108 1.900
Rh 6.008 -1.837 0.000
```

(4)
Diffraction record for MnIr6Rh8. The PXRD pattern is simulated, not measured: it uses a DFT-relaxed cell (PBE, Alexandria) and a wavelength of 1.5418 Å.
Neutral-atom scattering factors, no anomalous dispersion.

The 10 most intense peaks (2θ from 5° to 70°), in order of falling intensity:
2theta, Rel. int.
42.51, 100.0
42.01, 88.4
44.59, 68.9
44.25, 55.7
41.43, 52.3
46.30, 44.8
42.18, 42.6
35.40, 40.7
16.72, 38.4
39.73, 32.5

Atomic structure:
```
15
Lattice="5.341 0.000 0.000 0.717 6.343 0.000 0.544 1.962 6.824" Properties=species:S:1:pos:R:3 pbc="T T T"
Mn 0.000 0.000 0.000
Ir 2.395 4.276 0.400
Ir 2.694 3.263 4.021
Ir 2.300 0.394 1.144
Ir 4.302 7.911 5.680
Ir 3.908 5.042 2.804
Ir 4.207 4.029 6.424
Rh 1.214 5.204 2.568
Rh 1.587 4.220 6.175
Rh 1.210 2.501 2.023
Rh 2.344 7.138 4.039
Rh 4.258 1.167 2.786
Rh 5.392 5.804 4.801
Rh 5.015 4.085 0.649
Rh 5.388 3.101 4.257
```

(5)
Diffraction record for MnIr2Rh4. The PXRD pattern is simulated, not measured: it uses a DFT-relaxed cell (PBE, Alexandria) and a wavelength of 1.5418 Å.
Neutral-atom scattering factors, no anomalous dispersion.

The 10 most intense peaks (2θ from 5° to 70°), in order of falling intensity:
2theta, Rel. int.
14.21, 100.0
30.68, 90.2
38.00, 86.6
43.16, 85.8
47.24, 85.1
43.92, 67.3
40.16, 66.2
43.55, 65.1
41.67, 62.2
52.34, 49.8

Atomic structure:
```
14
Lattice="1.362 -8.385 0.000 1.362 8.385 0.000 0.000 0.000 9.323" Properties=species:S:1:pos:R:3 pbc="T T T"
Mn 1.362 6.327 6.992
Mn 1.362 -6.327 2.331
Ir 1.362 2.185 5.679
Ir 1.362 2.185 8.305
Ir 1.362 -2.185 1.018
Ir 1.362 -2.185 3.644
Rh 0.000 0.000 0.000
Rh 0.000 0.000 4.661
Rh 1.362 3.921 1.068
Rh 1.362 3.921 3.593
Rh 1.362 -0.003 2.331
Rh 1.362 0.003 6.992
Rh 1.362 -3.921 5.729
Rh 1.362 -3.921 8.255
```

(6)
Diffraction record for MnIr2Rh2. The PXRD pattern is simulated, not measured: it uses a DFT-relaxed cell (PBE, Alexandria) and a wavelength of 1.5418 Å.
Neutral-atom scattering factors, no anomalous dispersion.

The 10 most intense peaks (2θ from 5° to 70°), in order of falling intensity:
2theta, Rel. int.
40.23, 100.0
27.45, 95.7
46.81, 91.2
22.91, 75.9
45.88, 68.5
43.07, 60.1
34.91, 51.4
56.67, 51.4
41.22, 29.3
41.73, 22.4

Atomic structure:
```
10
Lattice="0.000 4.380 8.400 2.240 0.000 8.400 2.240 4.380 0.000" Properties=species:S:1:pos:R:3 pbc="T T T"
Mn 0.560 1.095 2.100
Mn 3.920 7.666 14.701
Ir 0.000 0.000 0.000
Ir 1.120 2.190 0.000
Ir 1.120 0.000 4.200
Ir 0.000 2.190 4.200
Rh 1.680 1.814 6.300
Rh 2.800 4.004 10.501
Rh 1.680 4.757 6.300
Rh 2.800 6.947 10.501
```

(7)
Diffraction record for MnIrRhW. The PXRD pattern is simulated, not measured: it uses a DFT-relaxed cell (PBE, Alexandria) and a wavelength of 1.5418 Å.
Neutral-atom scattering factors, no anomalous dispersion.

The 10 most intense peaks (2θ from 5° to 70°), in order of falling intensity:
2theta, Rel. int.
40.78, 100.0
47.15, 16.5
47.44, 16.2
23.07, 16.1
47.75, 15.9
33.15, 13.9
69.12, 10.4
69.37, 10.3
69.60, 10.2
58.85, 5.7

Atomic structure:
```
4
Lattice="3.809 0.000 0.000 0.000 3.833 0.000 0.000 0.000 3.855" Properties=species:S:1:pos:R:3 pbc="T T T"
Mn 0.000 0.000 0.000
Ir 1.905 0.000 1.928
Rh 1.905 1.916 0.000
W 0.000 1.916 1.928
```

(8)
Diffraction record for MnIr6Ru5. The PXRD pattern is simulated, not measured: it uses a DFT-relaxed cell (PBE, Alexandria) and a wavelength of 1.5418 Å.
Neutral-atom scattering factors, no anomalous dispersion.

The 7 most intense peaks (2θ from 5° to 70°), in order of falling intensity:
2theta, Rel. int.
40.74, 100.0
47.40, 48.6
69.28, 31.2
23.17, 11.1
33.04, 9.5
53.42, 5.3
58.95, 4.0

Atomic structure:
```
12
Lattice="1.917 -5.753 0.000 1.917 5.753 0.000 0.000 0.000 7.678" Properties=species:S:1:pos:R:3 pbc="T T T"
Mn 0.000 0.000 0.000
Ir 1.917 3.843 1.914
Ir 1.917 3.843 5.765
Ir 1.917 0.000 1.918
Ir 1.917 0.000 5.760
Ir 1.917 -3.843 1.914
Ir 1.917 -3.843 5.765
Ru 0.000 0.000 3.839
Ru 1.917 1.939 0.000
Ru 1.917 1.925 3.839
Ru 1.917 -1.925 3.839
Ru 1.917 -1.939 0.000
```

(9)
Diffraction record for Mn4IrRu2. The PXRD pattern is simulated, not measured: it uses a DFT-relaxed cell (PBE, Alexandria) and a wavelength of 1.5418 Å.
Neutral-atom scattering factors, no anomalous dispersion.

The 10 most intense peaks (2θ from 5° to 70°), in order of falling intensity:
2theta, Rel. int.
42.11, 100.0
42.64, 88.7
43.07, 82.0
45.17, 74.9
20.32, 74.1
44.01, 65.0
38.54, 64.0
45.50, 62.8
38.71, 60.9
41.34, 57.4

Atomic structure:
```
14
Lattice="4.686 0.000 0.000 0.770 6.434 0.000 2.263 -0.139 6.081" Properties=species:S:1:pos:R:3 pbc="T T T"
Mn 0.000 0.000 0.000
Mn 0.741 2.256 1.254
Mn 1.730 1.452 3.952
Mn 2.038 4.590 1.322
Mn 3.256 2.719 2.569
Mn 3.975 1.209 4.735
Mn 5.511 5.340 5.195
Mn 4.363 4.632 1.295
Ir 3.245 5.483 3.529
Ir 4.760 0.109 2.583
Ru 3.094 3.595 5.241
Ru 2.451 0.488 1.264
Ru 5.470 2.640 6.057
Ru 5.495 3.713 3.396
```

(10)
Diffraction record for Mn3Ir12Ru. The PXRD pattern is simulated, not measured: it uses a DFT-relaxed cell (PBE, Alexandria) and a wavelength of 1.5418 Å.
Neutral-atom scattering factors, no anomalous dispersion.

The 9 most intense peaks (2θ from 5° to 70°), in order of falling intensity:
2theta, Rel. int.
40.75, 100.0
47.44, 32.4
69.29, 31.4
47.33, 16.3
23.19, 11.3
33.03, 9.6
58.99, 4.0
53.40, 3.5
53.46, 1.8

Atomic structure:
```
16
Lattice="3.833 0.000 0.000 0.000 3.833 0.000 0.000 0.000 15.364" Properties=species:S:1:pos:R:3 pbc="T T T"
Mn 0.000 0.000 0.000
Mn 0.000 0.000 3.789
Mn 0.000 0.000 11.575
Ir 0.000 1.916 1.906
Ir 0.000 1.916 5.754
Ir 0.000 1.916 9.610
Ir 0.000 1.916 13.459
Ir 1.916 0.000 1.906
Ir 1.916 0.000 5.754
Ir 1.916 0.000 9.610
Ir 1.916 0.000 13.459
Ir 1.916 1.916 0.000
Ir 1.916 1.916 3.834
Ir 1.916 1.916 7.682
Ir 1.916 1.916 11.530
Ru 0.000 0.000 7.682
```

(11)
Diffraction record for MnIr4Ru. The PXRD pattern is simulated, not measured: it uses a DFT-relaxed cell (PBE, Alexandria) and a wavelength of 1.5418 Å.
Neutral-atom scattering factors, no anomalous dispersion.

The 10 most intense peaks (2θ from 5° to 70°), in order of falling intensity:
2theta, Rel. int.
40.73, 100.0
40.83, 99.0
47.32, 65.0
69.46, 41.4
47.70, 31.8
25.80, 18.9
21.85, 12.6
69.01, 10.6
69.30, 10.3
34.76, 9.0

Atomic structure:
```
6
Lattice="2.722 0.000 0.000 0.000 3.813 0.000 0.000 0.000 8.135" Properties=species:S:1:pos:R:3 pbc="T T T"
Mn 0.000 0.000 0.000
Ir 0.000 0.000 2.693
Ir 0.000 0.000 5.442
Ir 1.361 1.907 1.323
Ir 1.361 1.907 6.812
Ru 1.361 1.907 4.068
```

(12)
Diffraction record for MnIr4Ru. The PXRD pattern is simulated, not measured: it uses a DFT-relaxed cell (PBE, Alexandria) and a wavelength of 1.5418 Å.
Neutral-atom scattering factors, no anomalous dispersion.

The 10 most intense peaks (2θ from 5° to 70°), in order of falling intensity:
2theta, Rel. int.
43.45, 100.0
41.04, 53.0
39.46, 48.1
43.76, 45.2
49.52, 25.1
39.80, 24.9
69.23, 22.0
12.59, 16.3
49.80, 13.1
16.14, 12.0

Atomic structure:
```
12
Lattice="1.369 -7.031 0.000 1.369 7.031 0.000 0.000 0.000 8.798" Properties=species:S:1:pos:R:3 pbc="T T T"
Mn 1.369 4.685 4.399
Mn 1.369 -4.685 0.000
Ir 1.369 6.238 6.568
Ir 1.369 4.612 8.788
Ir 1.369 1.609 6.624
Ir 1.369 0.040 8.782
Ir 1.369 -0.040 4.383
Ir 1.369 -1.609 2.225
Ir 1.369 -4.612 4.389
Ir 1.369 -6.238 2.169
Ru 1.369 3.124 2.197
Ru 1.369 -3.124 6.596
```

(13)
Diffraction record for MnIrWS2. The PXRD pattern is simulated, not measured: it uses a DFT-relaxed cell (PBE, Alexandria) and a wavelength of 1.5418 Å.
Neutral-atom scattering factors, no anomalous dispersion.

The 10 most intense peaks (2θ from 5° to 70°), in order of falling intensity:
2theta, Rel. int.
19.69, 100.0
27.99, 56.6
39.99, 41.2
55.35, 31.6
41.93, 29.9
46.72, 29.1
36.63, 26.4
44.96, 24.7
59.33, 22.2
57.84, 13.8

Atomic structure:
```
5
Lattice="4.509 0.000 0.000 0.000 4.509 0.000 0.000 0.000 4.906" Properties=species:S:1:pos:R:3 pbc="T T T"
Mn 0.000 0.000 0.000
Ir 2.254 2.254 2.453
W 2.254 2.254 0.000
S 0.000 2.254 2.453
S 2.254 0.000 2.453
```